Dy2Be3InPt4: computed powder diffractogram (a wavelength of 1.5418 Å), based on a DFT-relaxed cell (GGA-PBE, Alexandria).

Main lines, low angle first (15° ≤ 2θ ≤ 90°):
25.93 deg, d = 3.436 Å, intensity 16, (0 0 3)
28.01 deg, d = 3.186 Å, intensity 30, (1 0 2)
32.42 deg, d = 2.761 Å, intensity 21, (1 1 1)
34.21 deg, d = 2.621 Å, intensity 12, (1 0 3)
35.85 deg, d = 2.505 Å, intensity 100, (1 1 2)
41.52 deg, d = 2.175 Å, intensity 16, (1 0 4)
44.72 deg, d = 2.027 Å, intensity 40, (2 0 0)
49.61 deg, d = 1.838 Å, intensity 15, (1 0 5)
65.09 deg, d = 1.433 Å, intensity 13, (2 2 0)
76.60 deg, d = 1.244 Å, intensity 22, (3 1 2)

Cell and atoms:
a = 4.0531 Å, b = 4.0531 Å, c = 10.3083 Å
α = 90.00°, β = 90.00°, γ = 90.00°
Fractional coordinates of all 10 atoms:
Dy 0.0000 0.5000 0.2323
Dy 0.5000 0.0000 0.7677
Be 0.0000 0.5000 0.8874
Be 0.5000 0.0000 0.1126
Be 0.5000 0.5000 0.5000
In 0.0000 0.0000 0.5000
Pt 0.0000 0.0000 0.0000
Pt 0.0000 0.5000 0.6671
Pt 0.5000 0.0000 0.3329
Pt 0.5000 0.5000 0.0000